[1]
Starting from a structure optimized by DFT (PBE), the XRD peak list of K4BiF was simulated for Cu Kα (λ = 1.5418 Å).
Peak positions follow from Bragg's law for the DFT cell and can differ from measured ones.

Cell and atoms:
```
K4BiF
1.0
2.955 -9.466 0.000
2.955 9.466 0.000
0.000 0.000 7.635
K Bi F
8 2 2
Cartesian
0.000 0.000 0.000
0.000 0.000 3.818
2.955 5.890 3.835
2.955 5.890 7.618
2.955 1.444 1.909
2.955 -1.444 5.726
2.955 -5.890 0.018
2.955 -5.890 3.800
2.955 2.401 5.726
2.955 -2.401 1.909
2.955 7.697 5.726
2.955 -7.697 1.909
```

Largest 10 diffraction maxima, by angle, 15° ≤ 2θ ≤ 90°:
2theta, I/Imax
18.75, 41
19.56, 83
23.69, 38
27.98, 65
28.22, 100
30.07, 58
30.24, 57
30.38, 46
31.29, 42
43.17, 43

[2]
Starting from a structure optimized by DFT (PBE), the XRD peak list of Rb2TiTlCl8 was simulated for Cu Kα (λ = 1.5418 Å).
Peak positions follow from Bragg's law for the DFT cell and can differ from measured ones.

Cell and atoms:
```
Rb2TiTlCl8
1.0
6.665 0.000 0.000
0.232 7.178 0.000
0.033 0.026 8.572
Rb Ti Tl Cl
2 1 1 8
Cartesian
0.256 7.184 2.030
6.674 0.020 6.542
3.449 3.589 0.000
3.465 3.602 4.286
2.072 5.865 4.294
1.990 2.806 1.719
2.018 2.802 6.872
2.374 5.678 8.555
4.556 1.526 0.017
4.912 4.402 1.700
4.940 4.398 6.853
4.858 1.339 4.278
```

Largest 10 diffraction maxima, by angle, 15° ≤ 2θ ≤ 90°:
2theta, I/Imax
17.87, 100
18.46, 64
24.19, 33
24.70, 80
35.99, 32
36.16, 44
36.62, 25
37.42, 24
40.46, 25
42.18, 26

[3]
Starting from a structure optimized by DFT (PBE), the XRD peak list of Zr10Sn3Pb3 was simulated for Cu Kα (λ = 1.5418 Å).
Peak positions follow from Bragg's law for the DFT cell and can differ from measured ones.

Cell and atoms:
```
Zr10Sn3Pb3
1.0
8.595 0.000 0.000
-4.298 7.444 0.000
0.000 0.000 5.846
Zr Sn Pb
10 3 3
Cartesian
-1.057 1.830 0.000
-3.229 5.593 2.923
2.114 0.000 0.000
1.068 1.851 2.923
0.000 4.963 1.479
0.000 4.963 4.366
4.298 2.481 1.479
4.298 2.481 4.366
6.459 0.000 2.923
3.241 5.613 0.000
-1.675 2.901 2.923
3.350 0.000 2.923
2.623 4.543 2.923
-2.609 4.519 0.000
1.689 2.925 0.000
5.218 0.000 0.000
```

Largest 10 diffraction maxima, by angle, 15° ≤ 2θ ≤ 90°:
2theta, I/Imax
20.67, 14
25.73, 25
30.59, 27
31.81, 20
35.41, 100
36.20, 52
37.20, 72
46.66, 30
57.54, 25
71.06, 20

[4]
Starting from a structure optimized by DFT (PBE), the XRD peak list of LiSbP2O7 was simulated for Cu Kα (λ = 1.5418 Å).
Peak positions follow from Bragg's law for the DFT cell and can differ from measured ones.

Cell and atoms:
```
LiSbP2O7
1.0
6.809 0.000 0.000
0.708 6.772 0.000
1.225 2.677 6.201
Li Sb P O
2 2 4 14
Cartesian
1.871 1.874 2.653
6.871 7.575 3.548
3.224 4.673 4.704
5.518 4.776 1.496
1.970 5.624 1.745
4.232 7.875 5.073
4.510 1.573 1.127
6.772 3.825 4.456
0.802 4.628 1.508
1.580 6.944 2.329
3.171 6.755 4.879
2.668 5.887 0.335
3.086 4.873 2.576
3.259 2.243 4.094
3.084 2.075 1.038
5.658 7.374 5.162
5.483 7.206 2.107
5.656 4.576 3.624
6.074 3.562 5.866
5.571 2.694 1.322
7.162 2.505 3.871
7.940 4.821 4.692
```

Largest 10 diffraction maxima, by angle, 15° ≤ 2θ ≤ 90°:
2theta, I/Imax
15.68, 80
20.93, 93
26.50, 97
26.63, 100
28.23, 51
28.33, 46
28.80, 92
29.87, 52
32.21, 59
37.17, 44

Copy entry 2 word for word.
Starting from a structure optimized by DFT (PBE), the XRD peak list of Rb2TiTlCl8 was simulated for Cu Kα (λ = 1.5418 Å).
Peak positions follow from Bragg's law for the DFT cell and can differ from measured ones.

Cell and atoms:
```
Rb2TiTlCl8
1.0
6.665 0.000 0.000
0.232 7.178 0.000
0.033 0.026 8.572
Rb Ti Tl Cl
2 1 1 8
Cartesian
0.256 7.184 2.030
6.674 0.020 6.542
3.449 3.589 0.000
3.465 3.602 4.286
2.072 5.865 4.294
1.990 2.806 1.719
2.018 2.802 6.872
2.374 5.678 8.555
4.556 1.526 0.017
4.912 4.402 1.700
4.940 4.398 6.853
4.858 1.339 4.278
```

Largest 10 diffraction maxima, by angle, 15° ≤ 2θ ≤ 90°:
2theta, I/Imax
17.87, 100
18.46, 64
24.19, 33
24.70, 80
35.99, 32
36.16, 44
36.62, 25
37.42, 24
40.46, 25
42.18, 26